1.
Tm4Tl3Hg: calculated X-ray diffraction stick pattern (CuKα), based on the GGA-PBE geometry in Alexandria.

```
Tm4Tl3Hg
1.0
3.735 0.000 0.000
0.000 3.735 0.000
0.000 0.000 14.964
Tm Tl Hg
4 3 1
Direct
0.000 0.000 0.118
0.000 0.000 0.372
0.000 0.000 0.628
0.000 0.000 0.882
0.500 0.500 0.246
0.500 0.500 0.500
0.500 0.500 0.754
0.500 0.500 0.000
```

Top 5 peaks for 10 to 80 degrees two-theta, most intense first:
2θ (°), I (rel.)
33.93, 100
60.71, 38
48.74, 18
71.40, 12
23.81, 1

***

2.
Sr2Al2Ge3: calculated X-ray diffraction stick pattern (CuKα), based on the GGA-PBE geometry in Alexandria.

```
Sr2Al2Ge3
1.0
8.428 -2.110 0.000
8.428 2.110 0.000
-7.145 0.000 10.022
Sr Al Ge
4 4 6
Direct
0.116 0.116 0.457
0.233 0.233 0.839
0.767 0.767 0.161
0.884 0.884 0.543
0.082 0.082 0.142
0.467 0.467 0.196
0.533 0.533 0.804
0.918 0.918 0.858
0.107 0.107 0.953
0.348 0.348 0.710
0.431 0.431 0.380
0.569 0.569 0.620
0.652 0.652 0.290
0.893 0.893 0.047
```

Top 6 peaks for 10 to 80 degrees two-theta, most intense first:
2θ (°), I (rel.)
30.71, 100
25.17, 40
42.87, 39
34.06, 39
36.14, 33
34.48, 31

***

3.
Dy4Pb3: calculated X-ray diffraction stick pattern (CuKα), based on the GGA-PBE geometry in Alexandria.

```
Dy4Pb3
1.0
-4.700 4.700 4.700
4.700 -4.700 4.700
4.700 4.700 -4.700
Dy Pb
8 6
Direct
0.000 0.360 0.500
0.000 0.860 0.500
0.140 0.140 0.140
0.360 0.500 0.000
0.500 0.000 0.360
0.500 0.000 0.860
0.640 0.640 0.640
0.860 0.500 0.000
0.125 0.750 0.875
0.250 0.625 0.375
0.375 0.250 0.625
0.625 0.375 0.250
0.750 0.875 0.125
0.875 0.125 0.750
```

Top 6 peaks for 10 to 80 degrees two-theta, most intense first:
2θ (°), I (rel.)
30.06, 100
35.74, 63
60.74, 29
49.44, 21
74.12, 20
43.03, 18

***

4.
NaYCdBi: calculated X-ray diffraction stick pattern (CuKα), based on the GGA-PBE geometry in Alexandria.

```
NaYCdBi
1.0
0.000 3.814 3.814
3.814 0.000 3.814
3.814 3.814 0.000
Na Y Cd Bi
1 1 1 1
Direct
0.000 0.000 0.000
0.500 0.500 0.500
0.750 0.750 0.750
0.250 0.250 0.250
```

Top 6 peaks for 10 to 80 degrees two-theta, most intense first:
2θ (°), I (rel.)
33.22, 100
59.36, 37
23.32, 26
47.69, 18
79.47, 16
20.16, 15

***

5.
MgSi: calculated X-ray diffraction stick pattern (CuKα), based on the GGA-PBE geometry in Alexandria.

```
MgSi
1.0
2.994 0.000 0.000
0.000 2.994 0.000
0.000 0.000 3.915
Mg Si
1 1
Direct
0.000 0.000 0.000
0.500 0.500 0.500
```

Top 6 peaks for 10 to 80 degrees two-theta, most intense first:
2θ (°), I (rel.)
37.83, 100
42.70, 35
74.95, 25
64.87, 19
46.39, 14
61.98, 11

***

6.
Li4Sn: calculated X-ray diffraction stick pattern (CuKα), based on the GGA-PBE geometry in Alexandria.

```
Li4Sn
1.0
5.019 0.000 0.000
0.000 4.969 0.000
-1.452 0.000 8.214
Li Sn
8 2
Direct
0.002 0.014 0.336
0.002 0.486 0.836
0.483 0.706 0.383
0.483 0.794 0.883
0.517 0.206 0.117
0.517 0.294 0.617
0.998 0.514 0.164
0.998 0.986 0.664
0.000 0.000 0.000
0.000 0.500 0.500
```

Top 6 peaks for 10 to 80 degrees two-theta, most intense first:
2θ (°), I (rel.)
20.89, 100
17.95, 75
26.39, 53
21.64, 46
28.91, 42
39.16, 37